No. 1
This entry pairs a crystal structure of ErCuHgSe3 with its calculated X-ray powder pattern. Radiation: Cu Kα X-rays. Structure: DFT lattice parameters and positions (PBE).
Intensities are scaled so that the largest is 100.

Top 8 peaks for 10 to 90 degrees two-theta, in order of rising 2θ:
- 2θ 21.39, I 65
- 2θ 31.61, I 100
- 2θ 33.58, I 42
- 2θ 34.66, I 47
- 2θ 34.88, I 85
- 2θ 43.57, I 27
- 2θ 44.44, I 35
- 2θ 46.16, I 34

Structural model:
```
data_ErCuHgSe3
_cell_length_a 6.9029
_cell_length_b 6.9029
_cell_length_c 10.6761
_cell_angle_alpha 90.00
_cell_angle_beta 90.00
_cell_angle_gamma 146.90
_space_group_name_H-M_alt 'P 1'
_space_group_IT_number 1
_space_group_name_Hall 'P 1'
loop_
_atom_site_label
_atom_site_fract_x
_atom_site_fract_y
_atom_site_fract_z
Er1 0.0000 0.0000 0.0000
Er2 0.0000 0.0000 0.5000
Cu1 0.4717 0.5283 0.7500
Cu2 0.5283 0.4717 0.2500
Hg1 0.2409 0.7591 0.2500
Hg2 0.7591 0.2409 0.7500
Se1 0.0914 0.9086 0.7500
Se2 0.3580 0.6420 0.5712
Se3 0.3580 0.6420 0.9288
Se4 0.6420 0.3580 0.0712
Se5 0.6420 0.3580 0.4288
Se6 0.9086 0.0914 0.2500
```


No. 2
This entry pairs a crystal structure of HoErCu6 with its calculated X-ray powder pattern. Radiation: Cu Kα X-rays. Structure: DFT lattice parameters and positions (PBE).
Intensities are scaled so that the largest is 100.

Top 8 peaks for 10 to 90 degrees two-theta, in order of rising 2θ:
- 2θ 25.53, I 27
- 2θ 31.16, I 22
- 2θ 35.81, I 30
- 2θ 38.93, I 23
- 2θ 41.27, I 90
- 2θ 41.50, I 100
- 2θ 55.75, I 16
- 2θ 79.51, I 21

Structural model:
```
data_HoErCu6
_cell_length_a 4.3768
_cell_length_b 5.7786
_cell_length_c 5.0498
_cell_angle_alpha 90.00
_cell_angle_beta 90.00
_cell_angle_gamma 90.00
_space_group_name_H-M_alt 'P 1'
_space_group_IT_number 1
_space_group_name_Hall 'P 1'
loop_
_atom_site_label
_atom_site_fract_x
_atom_site_fract_y
_atom_site_fract_z
Ho1 0.0000 0.0000 0.0000
Er1 0.5000 0.5000 0.7222
Cu1 0.0000 0.2281 0.5019
Cu2 0.0000 0.5000 0.1119
Cu3 0.0000 0.7719 0.5019
Cu4 0.5000 0.0000 0.6041
Cu5 0.5000 0.2757 0.2209
Cu6 0.5000 0.7243 0.2209
```


No. 3
This entry pairs a crystal structure of HoEr2Cu4Si4 with its calculated X-ray powder pattern. Radiation: Cu Kα X-rays. Structure: DFT lattice parameters and positions (PBE).
Intensities are scaled so that the largest is 100.

Top 8 peaks for 10 to 90 degrees two-theta, in order of rising 2θ:
- 2θ 23.91, I 23
- 2θ 28.90, I 19
- 2θ 35.81, I 100
- 2θ 37.04, I 83
- 2θ 39.79, I 17
- 2θ 44.24, I 27
- 2θ 46.32, I 29
- 2θ 65.96, I 27

Structural model:
```
data_HoEr2Cu4Si4
_cell_length_a 7.8118
_cell_length_b 7.8118
_cell_length_c 7.8118
_cell_angle_alpha 149.61
_cell_angle_beta 130.66
_cell_angle_gamma 59.06
_space_group_name_H-M_alt 'P 1'
_space_group_IT_number 1
_space_group_name_Hall 'P 1'
loop_
_atom_site_label
_atom_site_fract_x
_atom_site_fract_y
_atom_site_fract_z
Ho1 0.0000 0.0000 0.0000
Er1 0.3705 0.8705 0.5000
Er2 0.6295 0.1295 0.5000
Cu1 0.0224 0.3307 0.6918
Cu2 0.3611 0.6693 0.6918
Cu3 0.6389 0.3307 0.3082
Cu4 0.9776 0.6693 0.3082
Si1 0.2168 0.2168 0.0000
Si2 0.3152 0.5000 0.8152
Si3 0.6848 0.5000 0.1848
Si4 0.7832 0.7832 0.0000
```


No. 4
This entry pairs a crystal structure of Ho2ErCu4Si2Sn2 with its calculated X-ray powder pattern. Radiation: Cu Kα X-rays. Structure: DFT lattice parameters and positions (PBE).
Intensities are scaled so that the largest is 100.

Top 8 peaks for 10 to 90 degrees two-theta, in order of rising 2θ:
- 2θ 26.94, I 21
- 2θ 34.19, I 34
- 2θ 34.77, I 65
- 2θ 35.37, I 100
- 2θ 39.21, I 16
- 2θ 42.00, I 31
- 2θ 55.22, I 18
- 2θ 72.03, I 16

Structural model:
```
data_Ho2ErCu4Si2Sn2
_cell_length_a 8.1599
_cell_length_b 8.1599
_cell_length_c 8.1599
_cell_angle_alpha 149.43
_cell_angle_beta 132.14
_cell_angle_gamma 57.86
_space_group_name_H-M_alt 'P 1'
_space_group_IT_number 1
_space_group_name_Hall 'P 1'
loop_
_atom_site_label
_atom_site_fract_x
_atom_site_fract_y
_atom_site_fract_z
Ho1 0.1237 0.1237 0.0000
Ho2 0.8763 0.8763 0.0000
Er1 0.5000 0.0000 0.5000
Cu1 0.1561 0.3460 0.8101
Cu2 0.4640 0.6540 0.8101
Cu3 0.5360 0.3460 0.1899
Cu4 0.8439 0.6540 0.1899
Si1 0.1823 0.5000 0.6823
Si2 0.8177 0.5000 0.3177
Sn1 0.2817 0.7817 0.5000
Sn2 0.7183 0.2183 0.5000
```